This entry pairs a crystal structure of SrCrFeO4 with its theoretical powder X-ray diffraction pattern. Radiation: Cu Kα (weighted mean of Kα1 and Kα2). Structure: a cell relaxed with PBE+U.
Peak positions follow from Bragg's law for the DFT cell and can differ from measured ones.

Most intense lines, 2θ from 15° to 90°, most intense first:
2θ/deg	I/Imax
29.7	100
34.4	53
36.2	44
34.2	38
46.1	27
52.7	21

Cell and atoms:
Lattice parameters (Å, degrees): 5.7775 5.2112 6.2770 90.00 104.49 90.00
Sites, in units of the cell vectors:
Sr 0.1654 0.2500 0.1022
Sr 0.8346 0.7500 0.8978
Cr 0.1449 0.7500 0.4676
Cr 0.8551 0.2500 0.5324
Fe 0.4031 0.2500 0.6710
Fe 0.5969 0.7500 0.3290
O 0.1108 0.0100 0.6921
O 0.1108 0.4900 0.6921
O 0.2456 0.7500 0.1881
O 0.4740 0.7500 0.6067
O 0.5260 0.2500 0.3933
O 0.7544 0.2500 0.8119
O 0.8892 0.5100 0.3079
O 0.8892 0.9900 0.3079

=====

This entry pairs a crystal structure of Sr3CrFe2O8 with its theoretical powder X-ray diffraction pattern. Radiation: Cu Kα (weighted mean of Kα1 and Kα2). Structure: a cell relaxed with PBE+U.
Peak positions follow from Bragg's law for the DFT cell and can differ from measured ones.

Most intense lines, 2θ from 15° to 90°, most intense first:
2θ/deg	I/Imax
31.9	100
31.0	68
45.1	44
56.3	25
56.8	18
66.6	17

Cell and atoms:
Lattice parameters (Å, degrees): 5.6137 5.6137 7.1722 90.00 90.00 120.00
Sites, in units of the cell vectors:
Sr 0.0000 0.0000 0.0000
Sr 0.3333 0.6667 0.6395
Sr 0.6667 0.3333 0.3605
Cr 0.0000 0.0000 0.5000
Fe 0.3333 0.6667 0.2101
Fe 0.6667 0.3333 0.7899
O 0.1599 0.3198 0.3342
O 0.1599 0.8401 0.3342
O 0.3198 0.1599 0.6658
O 0.3333 0.6667 0.9606
O 0.6667 0.3333 0.0394
O 0.6802 0.8401 0.3342
O 0.8401 0.1599 0.6658
O 0.8401 0.6802 0.6658

=====

This entry pairs a crystal structure of V4CrFeO12 with its theoretical powder X-ray diffraction pattern. Radiation: Cu Kα (weighted mean of Kα1 and Kα2). Structure: a cell relaxed with PBE+U.
Peak positions follow from Bragg's law for the DFT cell and can differ from measured ones.

Most intense lines, 2θ from 15° to 90°, most intense first:
2θ/deg	I/Imax
28.0	100
19.0	89
28.9	62
19.3	39
35.0	36
39.9	35

Cell and atoms:
Lattice parameters (Å, degrees): 6.9651 6.9651 5.5502 104.86 104.86 82.56
Sites, in units of the cell vectors:
V 0.0093 0.4314 0.5681
V 0.2123 0.2123 0.0407
V 0.5686 0.9907 0.4319
V 0.7877 0.7877 0.9593
Cr 0.4837 0.5163 0.5000
Fe 0.3161 0.6839 0.0000
O 0.0203 0.6464 0.9425
O 0.0578 0.2610 0.2466
O 0.0737 0.2152 0.7347
O 0.2326 0.5714 0.6213
O 0.3536 0.9797 0.0575
O 0.3668 0.4130 0.1208
O 0.4286 0.7674 0.3787
O 0.5001 0.2367 0.5354
O 0.5870 0.6332 0.8792
O 0.7390 0.9422 0.7534
O 0.7633 0.4999 0.4646
O 0.7848 0.9263 0.2653

=====

This entry pairs a crystal structure of V4CrFe3O16 with its theoretical powder X-ray diffraction pattern. Radiation: Cu Kα (weighted mean of Kα1 and Kα2). Structure: a cell relaxed with PBE+U.
Peak positions follow from Bragg's law for the DFT cell and can differ from measured ones.

Most intense lines, 2θ from 15° to 90°, most intense first:
2θ/deg	I/Imax
27.0	100
27.5	25
41.1	22
26.9	22
32.6	15
28.8	14

Cell and atoms:
Lattice parameters (Å, degrees): 6.7744 6.7744 6.9506 102.83 102.83 84.09
Sites, in units of the cell vectors:
V 0.0003 0.9997 0.0000
V 0.5000 0.5000 0.0000
V 0.5266 0.0196 0.4028
V 0.9804 0.4734 0.5972
Cr 0.0724 0.9276 0.5000
Fe 0.0439 0.5436 0.1349
Fe 0.4376 0.5624 0.5000
Fe 0.4564 0.9561 0.8651
O 0.0394 0.2461 0.1103
O 0.0466 0.2233 0.5265
O 0.0491 0.5452 0.8563
O 0.0491 0.8570 0.1995
O 0.1106 0.6108 0.4597
O 0.1430 0.9509 0.8005
O 0.3585 0.5494 0.1999
O 0.3892 0.8894 0.5403
O 0.4506 0.6415 0.8001
O 0.4548 0.9509 0.1437
O 0.4590 0.2699 0.4735
O 0.4610 0.2532 0.8904
O 0.7301 0.5410 0.5265
O 0.7468 0.5390 0.1096
O 0.7539 0.9606 0.8897
O 0.7767 0.9534 0.4735